Diffraction record for BaCdSnH. The PXRD pattern is theoretical, not measured: it uses a DFT-relaxed cell (GGA-PBE, Alexandria) and a wavelength of 1.5418 Å.
Intensities are scaled so that the largest is 1000.

The 8 most intense peaks (10 to 80 degrees two-theta), low angle first:
2theta  Rel. int.  (hkl)
28.90  1000  1 0 1
34.90  669  1 1 0
42.12  132  0 0 2
45.92  279  2 0 1
55.82  342  1 1 2
58.95  266  2 1 1
62.58  121  3 0 0
78.34  129  3 0 2

Cell and atoms:
a b c (Å): 5.1417 5.1417 4.2904
angles (deg): 90.00 90.00 120.00
Space group P-6m2 (No. 187)
Inequivalent atoms, fractional coordinates:
Ba  0.0000  0.0000  0.0000 x1
Cd  0.3333  0.6667  0.5000 x1
Sn  0.6667  0.3333  0.5000 x1
H  0.3333  0.6667  0.0000 x1

Diffraction record for ScZn17Tc. The PXRD pattern is theoretical, not measured: it uses a DFT-relaxed cell (GGA-PBE, Alexandria) and a wavelength of 1.5418 Å.
Intensities are scaled so that the largest is 1000.

The 8 most intense peaks (10 to 80 degrees two-theta), low angle first:
2theta  Rel. int.  (hkl)
13.28  199  1 0 1
34.91  264  3 0 0
35.70  214  0 2 4
40.56  1000  2 2 0
40.78  215  0 0 6
41.28  421  2 0 5
45.63  983  2 2 3
45.80  312  1 1 6

Cell and atoms:
a b c (Å): 8.9022 8.9022 13.2746
angles (deg): 90.00 90.00 120.00
Space group R3m (No. 160, hexagonal axes)
Inequivalent atoms, fractional coordinates:
Sc  0.0000  0.0000  0.0000 x3
Zn  0.0000  0.0000  0.4164 x3
Zn  0.0000  0.0000  0.7574 x3
Zn  0.0065  0.5032  0.8006 x9
Zn  0.0410  0.3731  0.9658 x18
Zn  0.1686  0.3371  0.7789 x9
Zn  0.1700  0.3400  0.4899 x9
Tc  0.0000  0.0000  0.2106 x3

Diffraction record for Na7Cd2Pb. The PXRD pattern is theoretical, not measured: it uses a DFT-relaxed cell (GGA-PBE, Alexandria) and a wavelength of 1.5418 Å.
Intensities are scaled so that the largest is 1000.

The 8 most intense peaks (10 to 80 degrees two-theta), low angle first:
2theta  Rel. int.  (hkl)
20.18  1000  1 0 1
23.69  377  0 1 2
28.64  552  1 0 3
32.99  757  1 1 0
34.48  573  0 1 4
44.24  204  0 2 3
48.47  215  2 0 4
59.89  223  1 2 4

Cell and atoms:
a b c (Å): 5.4296 5.4296 12.4872
angles (deg): 90.00 90.00 120.00
Space group P3m1 (No. 156)
Inequivalent atoms, fractional coordinates:
Na  0.0000  0.0000  0.0000 x1
Na  0.0000  0.0000  0.2472 x1
Na  0.0000  0.0000  0.7375 x1
Na  0.3333  0.6667  0.3951 x1
Na  0.3333  0.6667  0.8384 x1
Na  0.6667  0.3333  0.1664 x1
Na  0.6667  0.3333  0.5866 x1
Cd  0.0000  0.0000  0.4917 x1
Cd  0.6667  0.3333  0.9014 x1
Pb  0.3333  0.6667  0.1052 x1

Diffraction record for TaCo. The PXRD pattern is theoretical, not measured: it uses a DFT-relaxed cell (GGA-PBE, Alexandria) and a wavelength of 1.5418 Å.
Intensities are scaled so that the largest is 1000.

The 8 most intense peaks (10 to 80 degrees two-theta), low angle first:
2theta  Rel. int.  (hkl)
31.91  515  1 1 2
37.43  677  0 0 4
38.32  483  1 1 3
38.60  605  2 0 1
40.95  309  1 2 0
42.05  1000  1 0 4
42.85  334  2 1 1
46.01  548  2 1 2

Cell and atoms:
a b c (Å): 4.808 4.960 9.615
angles (deg): 90.00 90.00 90.00
Space group P2_12_12_1 (No. 19)
Inequivalent atoms, fractional coordinates:
Ta  0.135  0.091  0.012 x4
Ta  0.144  0.609  0.802 x4
Co  0.141  0.887  0.272 x4
Co  0.160  0.607  0.062 x4

Diffraction record for Mg6Tl8Pb. The PXRD pattern is theoretical, not measured: it uses a DFT-relaxed cell (GGA-PBE, Alexandria) and a wavelength of 1.5418 Å.
Intensities are scaled so that the largest is 1000.

The 8 most intense peaks (10 to 80 degrees two-theta), low angle first:
2theta  Rel. int.  (hkl)
24.70  1000  1 1 3
34.61  576  2 -1 6
35.82  550  3 0 0
44.00  223  4 -2 3
50.66  198  2 2 6
56.32  168  3 0 9
57.99  200  4 1 3
63.59  202  5 -1 6

Cell and atoms:
a b c (Å): 8.6834 8.6834 19.3843
angles (deg): 90.00 90.00 120.00
Space group R-3 (No. 148, hexagonal axes)
Inequivalent atoms, fractional coordinates:
Mg  0.0016  0.6725  0.2846 x18
Tl  0.0000  0.0000  0.3386 x6
Tl  0.0007  0.6699  0.1215 x18
Pb  0.0000  0.0000  0.0000 x3